# 1
Starting from a DFT-relaxed cell (PBE+U, the Materials Project), the powder diffractogram of BaV2TeO8 was computed for Cu Ka.

Crystal structure
a b c (Å): 9.8973 5.6948 14.6454
angles (deg): 90.00 112.42 90.00
Atoms (fractional coordinates):
1 Ba 0.2447 0.1871 0.3365
2 Ba 0.2447 0.3129 0.8365
3 Ba 0.7553 0.6871 0.1635
4 Ba 0.7553 0.8129 0.6635
5 V 0.0047 0.1586 0.0866
6 V 0.0047 0.3414 0.5866
7 V 0.4813 0.1521 0.1375
8 V 0.4813 0.3479 0.6375
9 V 0.5187 0.6521 0.3625
10 V 0.5187 0.8479 0.8625
11 V 0.9953 0.6586 0.4134
12 V 0.9953 0.8414 0.9134
13 Te 0.2835 0.6633 0.0913
14 Te 0.2835 0.8367 0.5913
15 Te 0.7165 0.1633 0.4087
16 Te 0.7165 0.3367 0.9087
17 O 0.0126 0.5087 0.3196
18 O 0.0126 0.9913 0.8196
19 O 0.1243 0.5495 0.5470
20 O 0.1243 0.9505 0.0470
21 O 0.1373 0.1360 0.6393
22 O 0.1373 0.3640 0.1393
23 O 0.1566 0.6154 0.9547
24 O 0.1566 0.8846 0.4547
25 O 0.3358 0.6725 0.3243
26 O 0.3358 0.8275 0.8243
27 O 0.3950 0.1001 0.5589
28 O 0.3950 0.3999 0.0589
29 O 0.4237 0.6190 0.5654
30 O 0.4237 0.8810 0.0654
31 O 0.4335 0.1341 0.2362
32 O 0.4335 0.3659 0.7362
33 O 0.5665 0.6341 0.2638
34 O 0.5665 0.8659 0.7638
35 O 0.5763 0.1190 0.9346
36 O 0.5763 0.3810 0.4346
37 O 0.6050 0.6001 0.9411
38 O 0.6050 0.8999 0.4411
39 O 0.6642 0.1725 0.1757
40 O 0.6642 0.3275 0.6757
41 O 0.8434 0.1154 0.5453
42 O 0.8434 0.3846 0.0453
43 O 0.8627 0.6360 0.8607
44 O 0.8627 0.8640 0.3607
45 O 0.8757 0.0495 0.9530
46 O 0.8757 0.4505 0.4530
47 O 0.9874 0.0087 0.1804
48 O 0.9874 0.4913 0.6804

Most intense lines, 2θ from 15° to 90°, by intensity:
2θ (°)	I/Imax
24.51	1000
20.33	569
31.64	531
24.31	434
31.44	376
42.81	361
23.84	320
26.33	320
32.12	286
40.59	219

=====

# 2
Starting from a DFT-relaxed cell (PBE+U, the Materials Project), the powder diffractogram of BaTeW2O9 was computed for Cu Ka.

Crystal structure
a b c (Å): 5.6108 7.6068 9.0680
angles (deg): 90.00 90.02 90.00
Atoms (fractional coordinates):
1 Ba 0.2418 0.0000 0.4397
2 Ba 0.7582 0.5000 0.5603
3 Te 0.3716 0.2549 0.8996
4 Te 0.6284 0.7549 0.1004
5 W 0.2191 0.5109 0.2549
6 W 0.2409 0.6943 0.8236
7 W 0.7591 0.1943 0.1764
8 W 0.7809 0.0109 0.7451
9 O 0.0023 0.0420 0.1715
10 O 0.0285 0.6825 0.3255
11 O 0.0446 0.9005 0.8567
12 O 0.2246 0.3678 0.4121
13 O 0.2927 0.7211 0.6288
14 O 0.3033 0.6703 0.0558
15 O 0.4410 0.3334 0.1222
16 O 0.4715 0.4761 0.8215
17 O 0.4813 0.1337 0.7052
18 O 0.5187 0.6337 0.2948
19 O 0.5285 0.9761 0.1785
20 O 0.5590 0.8334 0.8778
21 O 0.6967 0.1703 0.9442
22 O 0.7073 0.2211 0.3712
23 O 0.7754 0.8678 0.5879
24 O 0.9554 0.4005 0.1433
25 O 0.9715 0.1825 0.6745
26 O 0.9977 0.5420 0.8285

Most intense lines, 2θ from 15° to 90°, by intensity:
2θ (°)	I/Imax
30.05	1000
27.89	827
25.25	480
31.88	434
19.63	385
25.39	326
21.99	317
49.51	259
15.20	184
41.57	174

=====

# 3
Starting from a DFT-relaxed cell (PBE+U, the Materials Project), the powder diffractogram of Ba3TiZnWO9 was computed for Cu Ka.

Crystal structure
a b c (Å): 5.8817 5.8817 14.4480
angles (deg): 90.00 90.00 120.00
Atoms (fractional coordinates):
1 Ba 0.0000 0.0000 0.0000
2 Ba 0.0000 0.0000 0.5000
3 Ba 0.3333 0.6667 0.1494
4 Ba 0.3333 0.6667 0.8392
5 Ba 0.6667 0.3333 0.3392
6 Ba 0.6667 0.3333 0.6494
7 Ti 0.3333 0.6667 0.6033
8 Ti 0.6667 0.3333 0.1033
9 Zn 0.0000 0.0000 0.2424
10 Zn 0.0000 0.0000 0.7424
11 W 0.3333 0.6667 0.4039
12 W 0.6667 0.3333 0.9039
13 O 0.0334 0.5167 0.4925
14 O 0.1717 0.3433 0.6607
15 O 0.1717 0.8283 0.6607
16 O 0.1732 0.3465 0.3328
17 O 0.1732 0.8268 0.3328
18 O 0.3433 0.1717 0.1607
19 O 0.3465 0.1732 0.8328
20 O 0.4833 0.5167 0.4925
21 O 0.4833 0.9666 0.4925
22 O 0.5167 0.0334 0.9925
23 O 0.5167 0.4833 0.9925
24 O 0.6535 0.8268 0.3328
25 O 0.6567 0.8283 0.6607
26 O 0.8268 0.1732 0.8328
27 O 0.8268 0.6535 0.8328
28 O 0.8283 0.1717 0.1607
29 O 0.8283 0.6567 0.1607
30 O 0.9666 0.4833 0.9925

Most intense lines, 2θ from 15° to 90°, by intensity:
2θ (°)	I/Imax
30.37	1000
53.99	271
43.48	226
25.45	178
47.56	128
40.05	116
63.24	115
57.50	111
35.73	94
71.72	83

=====

# 4
Starting from a DFT-relaxed cell (PBE+U, the Materials Project), the powder diffractogram of BaTlV2O6 was computed for Cu Ka.

Crystal structure
a b c (Å): 3.3879 3.4584 26.9387
angles (deg): 93.52 93.44 90.03
Atoms (fractional coordinates):
1 Ba 0.0000 0.0000 0.0000
2 Ba 0.3404 0.2903 0.6545
3 Tl 0.4457 0.4252 0.8791
4 Tl 0.8966 0.8635 0.7743
5 V 0.5373 0.5581 0.1186
6 V 0.6590 0.5531 0.2430
7 V 0.7109 0.7051 0.4126
8 V 0.7873 0.7280 0.5358
9 O 0.0268 0.5410 0.0802
10 O 0.1443 0.5504 0.2130
11 O 0.2255 0.7124 0.4428
12 O 0.3039 0.7461 0.5741
13 O 0.4010 0.3684 0.7835
14 O 0.4836 0.4814 0.9633
15 O 0.5734 0.0685 0.1417
16 O 0.6717 0.0668 0.2691
17 O 0.6976 0.1921 0.3865
18 O 0.7728 0.2173 0.5126
19 O 0.8576 0.8090 0.6908
20 O 0.9399 0.9182 0.8669

Most intense lines, 2θ from 15° to 90°, by intensity:
2θ (°)	I/Imax
30.34	1000
29.87	901
37.15	882
28.30	839
28.81	836
37.31	731
26.57	670
29.96	665
48.40	549
31.72	541

=====

# 5
Starting from a DFT-relaxed cell (PBE+U, the Materials Project), the powder diffractogram of Ba2TlW2O7 was computed for Cu Ka.

Crystal structure
a b c (Å): 3.9765 3.9765 13.0941
angles (deg): 90.00 90.00 90.00
Atoms (fractional coordinates):
1 Ba 0.0000 0.0000 0.1960
2 Ba 0.0000 0.0000 0.8040
3 Tl 0.5000 0.5000 0.0000
4 W 0.5000 0.5000 0.3706
5 W 0.5000 0.5000 0.6294
6 O 0.0000 0.0000 0.0000
7 O 0.0000 0.5000 0.3736
8 O 0.0000 0.5000 0.6264
9 O 0.5000 0.0000 0.3736
10 O 0.5000 0.0000 0.6264
11 O 0.5000 0.5000 0.2148
12 O 0.5000 0.5000 0.7852

Most intense lines, 2θ from 15° to 90°, by intensity:
2θ (°)	I/Imax
30.41	1000
31.83	663
55.82	374
26.22	373
45.63	327
47.44	321
34.24	250
22.36	241
58.26	208
61.24	190

=====

# 6
Starting from a DFT-relaxed cell (PBE+U, the Materials Project), the powder diffractogram of BaTlW2O6 was computed for Cu Ka.

Crystal structure
a b c (Å): 3.8906 3.8917 22.7630
angles (deg): 94.86 94.86 90.11
Atoms (fractional coordinates):
1 Ba 0.0000 0.0000 0.0000
2 Ba 0.3330 0.3247 0.6539
3 Tl 0.4354 0.4275 0.8751
4 Tl 0.8881 0.8801 0.7783
5 W 0.5543 0.5555 0.1121
6 W 0.6213 0.6219 0.2456
7 W 0.7072 0.7030 0.4093
8 W 0.7776 0.7695 0.5423
9 O 0.0544 0.5548 0.1129
10 O 0.1219 0.6224 0.2469
11 O 0.2053 0.7017 0.4066
12 O 0.2780 0.7690 0.5426
13 O 0.3744 0.3888 0.7675
14 O 0.5109 0.5115 0.0231
15 O 0.5530 0.0551 0.1122
16 O 0.6225 0.1230 0.2482
17 O 0.7053 0.2023 0.4080
18 O 0.7782 0.2690 0.5418
19 O 0.8221 0.8137 0.6314
20 O 0.9352 0.9527 0.8862

Most intense lines, 2θ from 15° to 90°, by intensity:
2θ (°)	I/Imax
32.54	1000
22.94	900
31.67	782
29.03	761
46.69	521
26.75	513
60.17	450
57.51	327
49.12	297
37.76	274

=====

# 7
Starting from a DFT-relaxed cell (PBE+U, the Materials Project), the powder diffractogram of Ba2Tl2W3O10 was computed for Cu Ka.

Crystal structure
a b c (Å): 3.9281 3.9285 19.2649
angles (deg): 95.56 95.68 91.39
Atoms (fractional coordinates):
1 Ba 0.0000 0.0000 0.0000
2 Ba 0.2883 0.3190 0.5936
3 Tl 0.4316 0.4418 0.8538
4 Tl 0.8739 0.8883 0.7397
5 W 0.5666 0.5622 0.1299
6 W 0.6475 0.6577 0.2968
7 W 0.7238 0.7558 0.4632
8 O 0.0100 0.9404 0.8671
9 O 0.0666 0.5610 0.1312
10 O 0.1480 0.6575 0.2967
11 O 0.2231 0.7555 0.4622
12 O 0.4481 0.3782 0.7261
13 O 0.5140 0.5116 0.0267
14 O 0.5664 0.0626 0.1316
15 O 0.6482 0.1576 0.2967
16 O 0.7216 0.2547 0.4618
17 O 0.7758 0.8052 0.5666

Most intense lines, 2θ from 15° to 90°, by intensity:
2θ (°)	I/Imax
28.01	1000
31.04	689
22.76	558
31.83	455
46.23	434
32.64	428
32.87	340
38.29	240
46.41	193
60.58	182

=====

# 8
Starting from a DFT-relaxed cell (PBE+U, the Materials Project), the powder diffractogram of Ba2YTlW2O7 was computed for Cu Ka.

Crystal structure
a b c (Å): 4.0378 4.2191 13.1340
angles (deg): 90.00 90.00 90.00
Atoms (fractional coordinates):
1 Ba 0.0000 0.0000 0.1903
2 Ba 0.0000 0.0000 0.8097
3 Y 0.0000 0.0000 0.5000
4 Tl 0.5000 0.5000 0.0000
5 W 0.5000 0.5000 0.3739
6 W 0.5000 0.5000 0.6261
7 O 0.0000 0.0000 0.0000
8 O 0.0000 0.5000 0.3872
9 O 0.0000 0.5000 0.6128
10 O 0.5000 0.0000 0.3859
11 O 0.5000 0.0000 0.6141
12 O 0.5000 0.5000 0.2177
13 O 0.5000 0.5000 0.7823

Most intense lines, 2θ from 15° to 90°, by intensity:
2θ (°)	I/Imax
30.65	1000
29.40	778
30.11	735
53.27	305
54.58	282
46.52	278
42.87	260
34.13	238
44.90	227
63.81	158

=====

# 9
Starting from a DFT-relaxed cell (PBE+U, the Materials Project), the powder diffractogram of Ba2Tl2Zn3W4O12 was computed for Cu Ka.

Crystal structure
a b c (Å): 23.7004 23.7004 23.7004
angles (deg): 170.77 170.77 13.07
Atoms (fractional coordinates):
1 Ba 0.1656 0.1656 0.0000
2 Ba 0.8344 0.8344 0.0000
3 Tl 0.2749 0.2749 0.0000
4 Tl 0.7251 0.7251 0.0000
5 Zn 0.0000 0.0000 0.0000
6 Zn 0.0725 0.0725 0.0000
7 Zn 0.9275 0.9275 0.0000
8 W 0.3934 0.3934 0.0000
9 W 0.4529 0.4529 0.0000
10 W 0.5471 0.5471 0.0000
11 W 0.6066 0.6066 0.0000
12 O 0.0285 0.5285 0.5000
13 O 0.1184 0.6184 0.5000
14 O 0.2273 0.2273 0.0000
15 O 0.3216 0.3216 0.0000
16 O 0.3816 0.8816 0.5000
17 O 0.4715 0.9715 0.5000
18 O 0.5285 0.0285 0.5000
19 O 0.6184 0.1184 0.5000
20 O 0.6784 0.6784 0.0000
21 O 0.7727 0.7727 0.0000
22 O 0.8816 0.3816 0.5000
23 O 0.9715 0.4715 0.5000

Most intense lines, 2θ from 15° to 90°, by intensity:
2θ (°)	I/Imax
33.22	1000
31.41	548
47.69	492
28.97	489
26.87	487
48.48	455
60.01	331
34.14	286
34.27	283
23.40	275

=====

# 10
Starting from a DFT-relaxed cell (PBE+U, the Materials Project), the powder diffractogram of Ba12V4O19 was computed for Cu Ka.

Crystal structure
a b c (Å): 7.9824 7.9824 10.4310
angles (deg): 90.05 90.05 98.66
Atoms (fractional coordinates):
1 Ba 0.0740 0.0740 0.2544
2 Ba 0.2369 0.7631 0.0000
3 Ba 0.2418 0.2418 0.9270
4 Ba 0.2459 0.7541 0.5000
5 Ba 0.2472 0.2472 0.5727
6 Ba 0.4290 0.4290 0.2621
7 Ba 0.5710 0.5710 0.7379
8 Ba 0.7528 0.7528 0.4273
9 Ba 0.7541 0.2459 0.5000
10 Ba 0.7582 0.7582 0.0730
11 Ba 0.7631 0.2369 0.0000
12 Ba 0.9260 0.9260 0.7456
13 V 0.0008 0.5008 0.2465
14 V 0.4992 0.9992 0.7535
15 V 0.5008 0.0008 0.2465
16 V 0.9992 0.4992 0.7535
17 O 0.0000 0.0000 0.0000
18 O 0.0000 0.0000 0.5000
19 O 0.0404 0.7353 0.2479
20 O 0.0946 0.4056 0.3867
21 O 0.1059 0.4075 0.1116
22 O 0.2336 0.5400 0.7621
23 O 0.2647 0.9596 0.7521
24 O 0.4056 0.0946 0.3867
25 O 0.4075 0.1059 0.1116
26 O 0.4600 0.7664 0.2379
27 O 0.5000 0.5000 0.5000
28 O 0.5400 0.2336 0.7621
29 O 0.5925 0.8941 0.8884
30 O 0.5944 0.9054 0.6133
31 O 0.7353 0.0404 0.2479
32 O 0.7664 0.4600 0.2379
33 O 0.8941 0.5925 0.8884
34 O 0.9054 0.5944 0.6133
35 O 0.9596 0.2647 0.7521

Most intense lines, 2θ from 15° to 90°, by intensity:
2θ (°)	I/Imax
28.36	1000
35.16	591
28.07	474
29.51	346
51.66	307
45.97	202
38.64	190
22.52	186
46.54	160
49.36	128